1.
Structure and theoretical X-ray diffraction stick pattern of YTm3Pb2C2 (a crystal structure in OQMD, relaxed with GGA-PBE; Cu Kα).

Structure:
```
data_YTm3Pb2C2
_symmetry_space_group_name_H-M 'P 1'
_symmetry_Int_Tables_number 1
_cell_length_a 3.6013
_cell_length_b 3.6013
_cell_length_c 15.8988
_cell_angle_alpha 90.00
_cell_angle_beta 90.00
_cell_angle_gamma 120.00
loop_
_symmetry_equiv_pos_as_xyz
'x,y,z'
loop_
_atom_site_label
_atom_site_type_symbol
_atom_site_fract_x
_atom_site_fract_y
_atom_site_fract_z
Y1 Y 0.0000 0.0000 0.0000
Tm1 Tm 0.0000 0.0000 0.3352
Tm2 Tm 0.3333 0.6667 0.4985
Tm3 Tm 0.3333 0.6667 0.8343
Pb1 Pb 0.0000 0.0000 0.6664
Pb2 Pb 0.3333 0.6667 0.1685
C1 C 0.6667 0.3333 0.4169
C2 C 0.6667 0.3333 0.9146
```

Largest 12 diffraction maxima, low angle first, 2θ = 10–80°:
28.62°, I 22.9
29.18°, I 2.7
33.33°, I 100.0
33.83°, I 20.4
44.89°, I 16.1
50.70°, I 21.4
59.26°, I 3.1
60.20°, I 18.5
62.04°, I 17.0
62.35°, I 21.6
70.01°, I 4.3
78.42°, I 2.8


2.
Structure and theoretical X-ray diffraction stick pattern of Y3TmPb2C2 (a crystal structure in OQMD, relaxed with GGA-PBE; Cu Kα).

Structure:
```
data_Y3TmPb2C2
_symmetry_space_group_name_H-M 'P 1'
_symmetry_Int_Tables_number 1
_cell_length_a 3.6331
_cell_length_b 3.6331
_cell_length_c 16.0099
_cell_angle_alpha 90.00
_cell_angle_beta 90.00
_cell_angle_gamma 120.00
loop_
_symmetry_equiv_pos_as_xyz
'x,y,z'
loop_
_atom_site_label
_atom_site_type_symbol
_atom_site_fract_x
_atom_site_fract_y
_atom_site_fract_z
Y1 Y 0.0000 0.0000 0.0000
Y2 Y 0.0000 0.0000 0.3345
Y3 Y 0.3333 0.6667 0.5013
Tm1 Tm 0.3333 0.6667 0.8357
Pb1 Pb 0.0000 0.0000 0.6698
Pb2 Pb 0.3333 0.6667 0.1671
C1 C 0.6667 0.3333 0.4177
C2 C 0.6667 0.3333 0.9155
```

Largest 12 diffraction maxima, low angle first, 2θ = 10–80°:
11.05°, I 10.0
22.21°, I 4.1
28.37°, I 22.7
28.92°, I 8.1
33.05°, I 100.0
33.59°, I 20.1
44.52°, I 16.3
50.22°, I 21.4
59.72°, I 18.3
61.45°, I 16.9
61.78°, I 21.2
69.34°, I 4.3


3.
Structure and theoretical X-ray diffraction stick pattern of YTmPbC (a crystal structure in OQMD, relaxed with GGA-PBE; Cu Kα).

Structure:
```
data_YTmPbC
_symmetry_space_group_name_H-M 'P 1'
_symmetry_Int_Tables_number 1
_cell_length_a 3.6196
_cell_length_b 3.6196
_cell_length_c 15.9499
_cell_angle_alpha 90.00
_cell_angle_beta 90.00
_cell_angle_gamma 120.00
loop_
_symmetry_equiv_pos_as_xyz
'x,y,z'
loop_
_atom_site_label
_atom_site_type_symbol
_atom_site_fract_x
_atom_site_fract_y
_atom_site_fract_z
Y1 Y 0.3333 0.6667 0.0838
Y2 Y 0.6667 0.3333 0.9162
Tm1 Tm 0.3333 0.6667 0.4187
Tm2 Tm 0.6667 0.3333 0.5813
Pb1 Pb 0.3333 0.6667 0.7473
Pb2 Pb 0.6667 0.3333 0.2527
C1 C 0.0000 0.0000 0.0000
C2 C 0.0000 0.0000 0.5000
```

Largest 12 diffraction maxima, low angle first, 2θ = 10–80°:
11.09°, I 3.6
28.47°, I 22.4
29.03°, I 4.9
30.64°, I 3.5
33.18°, I 100.0
33.72°, I 20.2
44.70°, I 15.8
50.42°, I 21.5
59.96°, I 18.2
61.70°, I 17.0
62.04°, I 21.4
69.64°, I 4.2


4.
Structure and theoretical X-ray diffraction stick pattern of Y2Pb3W4C3 (a crystal structure in OQMD, relaxed with GGA-PBE; Cu Kα).

Structure:
```
data_Y2Pb3W4C3
_symmetry_space_group_name_H-M 'P 1'
_symmetry_Int_Tables_number 1
_cell_length_a 5.8700
_cell_length_b 5.8700
_cell_length_c 14.4894
_cell_angle_alpha 99.85
_cell_angle_beta 99.85
_cell_angle_gamma 60.39
loop_
_symmetry_equiv_pos_as_xyz
'x,y,z'
loop_
_atom_site_label
_atom_site_type_symbol
_atom_site_fract_x
_atom_site_fract_y
_atom_site_fract_z
Y1 Y 0.0292 0.8741 0.6003
Y2 Y 0.1259 0.9708 0.8997
Y3 Y 0.8741 0.0292 0.1003
Y4 Y 0.9708 0.1259 0.3997
Pb1 Pb 0.0764 0.3068 0.7474
Pb2 Pb 0.3068 0.0764 0.2474
Pb3 Pb 0.4636 0.5364 0.7500
Pb4 Pb 0.5364 0.4636 0.2500
Pb5 Pb 0.6932 0.9236 0.7526
Pb6 Pb 0.9236 0.6932 0.2526
W1 W 0.1878 0.3396 0.0656
W2 W 0.3055 0.4937 0.4342
W3 W 0.3396 0.1878 0.5656
W4 W 0.4937 0.3055 0.9342
W5 W 0.5063 0.6945 0.0658
W6 W 0.6604 0.8122 0.4344
W7 W 0.6945 0.5063 0.5658
W8 W 0.8122 0.6604 0.9344
C1 C 0.0000 0.5000 0.5000
C2 C 0.1736 0.6499 0.9997
C3 C 0.3501 0.8264 0.5003
C4 C 0.5000 0.0000 0.0000
C5 C 0.6499 0.1736 0.4997
C6 C 0.8264 0.3501 0.0003
```

Largest 12 diffraction maxima, low angle first, 2θ = 10–80°:
17.47°, I 15.3
25.08°, I 15.3
30.27°, I 21.0
30.47°, I 48.4
35.49°, I 92.6
35.85°, I 98.2
36.54°, I 100.0
38.01°, I 46.0
53.90°, I 36.2
54.28°, I 17.8
66.36°, I 20.7
67.22°, I 20.8


5.
Structure and theoretical X-ray diffraction stick pattern of PdC8 (a crystal structure in OQMD, relaxed with GGA-PBE; Cu Kα).

Structure:
```
data_PdC8
_symmetry_space_group_name_H-M 'P 1'
_symmetry_Int_Tables_number 1
_cell_length_a 9.6603
_cell_length_b 9.0001
_cell_length_c 4.9651
_cell_angle_alpha 82.07
_cell_angle_beta 67.33
_cell_angle_gamma 30.60
loop_
_symmetry_equiv_pos_as_xyz
'x,y,z'
loop_
_atom_site_label
_atom_site_type_symbol
_atom_site_fract_x
_atom_site_fract_y
_atom_site_fract_z
Pd1 Pd 0.1250 0.1250 0.1250
Pd2 Pd 0.8750 0.8750 0.8750
C1 C 0.0819 0.4154 0.3351
C2 C 0.0838 0.4159 0.8327
C3 C 0.1673 0.8324 0.9162
C4 C 0.1676 0.8327 0.4159
C5 C 0.3324 0.6649 0.5846
C6 C 0.3351 0.6676 0.0819
C7 C 0.4154 0.0819 0.6676
C8 C 0.4159 0.0838 0.1676
C9 C 0.5841 0.9162 0.8324
C10 C 0.5846 0.9181 0.3324
C11 C 0.6649 0.3324 0.9181
C12 C 0.6676 0.3351 0.4154
C13 C 0.8324 0.1673 0.5841
C14 C 0.8327 0.1676 0.0838
C15 C 0.9162 0.5841 0.1673
C16 C 0.9181 0.5846 0.6649
```

Largest 12 diffraction maxima, low angle first, 2θ = 10–80°:
21.29°, I 100.0
23.10°, I 82.5
25.84°, I 62.7
33.23°, I 31.6
36.57°, I 24.4
37.56°, I 22.4
37.69°, I 22.3
39.52°, I 19.4
41.77°, I 24.9
42.17°, I 16.0
47.21°, I 63.2
76.79°, I 15.5


6.
Structure and theoretical X-ray diffraction stick pattern of PdC8 (a crystal structure in OQMD, relaxed with GGA-PBE; Cu Kα).

Structure:
```
data_PdC8
_symmetry_space_group_name_H-M 'P 1'
_symmetry_Int_Tables_number 1
_cell_length_a 4.9689
_cell_length_b 4.9689
_cell_length_c 4.3085
_cell_angle_alpha 90.00
_cell_angle_beta 90.00
_cell_angle_gamma 120.00
loop_
_symmetry_equiv_pos_as_xyz
'x,y,z'
loop_
_atom_site_label
_atom_site_type_symbol
_atom_site_fract_x
_atom_site_fract_y
_atom_site_fract_z
Pd1 Pd 0.0000 0.0000 0.0000
C1 C 0.1677 0.3353 0.5000
C2 C 0.1677 0.8323 0.5000
C3 C 0.3333 0.6667 0.5000
C4 C 0.3353 0.1677 0.5000
C5 C 0.6647 0.8323 0.5000
C6 C 0.6667 0.3333 0.5000
C7 C 0.8323 0.1677 0.5000
C8 C 0.8323 0.6647 0.5000
```

Largest 11 diffraction maxima, low angle first, 2θ = 10–80°:
20.64°, I 100.0
29.33°, I 84.0
36.15°, I 23.6
41.97°, I 52.6
47.20°, I 61.2
56.57°, I 25.5
60.87°, I 24.9
65.02°, I 4.4
68.97°, I 13.8
72.87°, I 11.8
76.68°, I 11.3